Diffraction record for MgCr2Fe3NiP6O24. The XRD peak list is theoretical, not measured: it uses a DFT-relaxed cell (PBE+U, the Materials Project) and Cu Kα.

Largest 12 diffraction maxima, sorted by position, 2θ = 15–90°:
4.327 Å, I = 94.3, hkl 1 1 0
3.682 Å, I = 100.0, hkl 1 1 3
2.807 Å, I = 12.1, hkl 2 1 1
2.723 Å, I = 29.4, hkl 2 -1 6
2.498 Å, I = 42.2, hkl 3 0 0
2.151 Å, I = 12.2, hkl 2 0 8
2.061 Å, I = 9.3, hkl 2 1 7
1.926 Å, I = 35.7, hkl 3 -2 8
1.841 Å, I = 12.9, hkl 4 -2 6
1.636 Å, I = 23.3, hkl 4 1 0
1.630 Å, I = 17.9, hkl 3 1 8
1.249 Å, I = 10.5, hkl 6 0 0

Cell and atoms:
Lattice parameters (Å, degrees): 8.6546 8.6546 21.0186 90.00 90.00 120.00
Space group R3 (No. 146, hexagonal axes)
Unique sites:
Mg 0.0000 0.0000 0.0000 (multiplicity 3)
Cr 0.0000 0.0000 0.3748 (multiplicity 3)
Cr 0.0000 0.0000 0.8670 (multiplicity 3)
Fe 0.0000 0.0000 0.1259 (multiplicity 3)
Fe 0.0000 0.0000 0.2436 (multiplicity 3)
Fe 0.0000 0.0000 0.7188 (multiplicity 3)
Ni 0.0000 0.0000 0.5177 (multiplicity 3)
P 0.0024 0.7071 0.6190 (multiplicity 9)
P 0.0293 0.3617 0.7865 (multiplicity 9)
O 0.0029 0.1956 0.1787 (multiplicity 9)
O 0.0077 0.8244 0.3066 (multiplicity 9)
O 0.0090 0.1740 0.7957 (multiplicity 9)
O 0.0397 0.8248 0.6783 (multiplicity 9)
O 0.1522 0.7052 0.2274 (multiplicity 9)
O 0.1530 0.4775 0.7314 (multiplicity 9)
O 0.1626 0.4906 0.1088 (multiplicity 9)
O 0.1649 0.6786 0.6030 (multiplicity 9)

---

Diffraction record for MgCr2Fe3NiP6O24. The XRD peak list is theoretical, not measured: it uses a DFT-relaxed cell (PBE+U, the Materials Project) and Cu Kα.

Largest 12 diffraction maxima, sorted by position, 2θ = 15–90°:
4.326 Å, I = 100.0, hkl 1 1 0
3.680 Å, I = 98.5, hkl 1 1 3
3.529 Å, I = 12.0, hkl 2 0 2
2.807 Å, I = 13.2, hkl 2 1 1
2.721 Å, I = 42.5, hkl 1 1 6
2.497 Å, I = 50.0, hkl 3 0 0
2.150 Å, I = 13.5, hkl 2 0 8
1.925 Å, I = 38.9, hkl 1 2 8
1.840 Å, I = 17.4, hkl 2 2 6
1.635 Å, I = 27.2, hkl 1 4 0
1.629 Å, I = 19.9, hkl 3 1 8
1.481 Å, I = 11.5, hkl 1 4 6

Cell and atoms:
Lattice parameters (Å, degrees): 8.6517 8.6517 21.0042 90.00 90.00 120.00
Space group R3 (No. 146, hexagonal axes)
Unique sites:
Mg 0.0000 0.0000 0.0000 (multiplicity 3)
Cr 0.0000 0.0000 0.2601 (multiplicity 3)
Cr 0.0000 0.0000 0.7511 (multiplicity 3)
Fe 0.0000 0.0000 0.1231 (multiplicity 3)
Fe 0.0000 0.0000 0.4049 (multiplicity 3)
Fe 0.0000 0.0000 0.8822 (multiplicity 3)
Ni 0.0000 0.0000 0.6096 (multiplicity 3)
P 0.9997 0.3017 0.0058 (multiplicity 9)
P 0.0418 0.6683 0.1722 (multiplicity 9)
O 0.0069 0.1768 0.6843 (multiplicity 9)
O 0.0084 0.1899 0.0627 (multiplicity 9)
O 0.0117 0.8343 0.1867 (multiplicity 9)
O 0.0268 0.8106 0.5656 (multiplicity 9)
O 0.1402 0.4679 0.6138 (multiplicity 9)
O 0.1575 0.6768 0.4855 (multiplicity 9)
O 0.1601 0.7063 0.1136 (multiplicity 9)
O 0.1678 0.4923 0.9971 (multiplicity 9)

---

Diffraction record for MgCr2Fe3NiP6O24. The XRD peak list is theoretical, not measured: it uses a DFT-relaxed cell (PBE+U, the Materials Project) and Cu Kα.

Largest 12 diffraction maxima, sorted by position, 2θ = 15–90°:
4.334 Å, I = 93.7, hkl 1 1 0
3.675 Å, I = 100.0, hkl 1 1 3
2.811 Å, I = 12.5, hkl 2 1 1
2.708 Å, I = 31.4, hkl 1 1 6
2.502 Å, I = 42.5, hkl 3 0 0
2.138 Å, I = 12.5, hkl 2 0 8
1.917 Å, I = 35.4, hkl 1 2 8
1.838 Å, I = 13.9, hkl 2 2 6
1.638 Å, I = 23.1, hkl 1 4 0
1.625 Å, I = 17.8, hkl 3 1 8
1.481 Å, I = 9.7, hkl 1 4 6
1.251 Å, I = 10.9, hkl 6 0 0

Cell and atoms:
Lattice parameters (Å, degrees): 8.6676 8.6676 20.8078 90.00 90.00 120.00
Space group R3 (No. 146, hexagonal axes)
Unique sites:
Mg 0.0000 0.0000 0.0000 (multiplicity 3)
Cr 0.0000 0.0000 0.3745 (multiplicity 3)
Cr 0.0000 0.0000 0.8661 (multiplicity 3)
Fe 0.0000 0.0000 0.1218 (multiplicity 3)
Fe 0.0000 0.0000 0.2381 (multiplicity 3)
Fe 0.0000 0.0000 0.5213 (multiplicity 3)
Ni 0.0000 0.0000 0.7236 (multiplicity 3)
P 0.0001 0.3049 0.1206 (multiplicity 9)
P 0.0022 0.7051 0.6210 (multiplicity 9)
O 0.0044 0.1749 0.7986 (multiplicity 9)
O 0.0061 0.8300 0.3019 (multiplicity 9)
O 0.0072 0.1978 0.1799 (multiplicity 9)
O 0.0279 0.8091 0.6815 (multiplicity 9)
O 0.1416 0.4718 0.7295 (multiplicity 9)
O 0.1547 0.7004 0.2285 (multiplicity 9)
O 0.1624 0.6768 0.6020 (multiplicity 9)
O 0.1676 0.4938 0.1116 (multiplicity 9)

---

Diffraction record for MgCr2Fe3NiP6O24. The XRD peak list is theoretical, not measured: it uses a DFT-relaxed cell (PBE+U, the Materials Project) and Cu Kα.

Largest 12 diffraction maxima, sorted by position, 2θ = 15–90°:
4.326 Å, I = 94.7, hkl 1 1 0
3.670 Å, I = 100.0, hkl 1 1 3
2.806 Å, I = 12.8, hkl 2 1 1
2.705 Å, I = 29.7, hkl 1 1 6
2.498 Å, I = 43.1, hkl 3 0 0
2.135 Å, I = 12.7, hkl 2 0 8
2.050 Å, I = 10.3, hkl 2 1 7
1.915 Å, I = 35.5, hkl 1 2 8
1.835 Å, I = 13.7, hkl 4 -2 6
1.635 Å, I = 23.0, hkl 1 4 0
1.623 Å, I = 17.8, hkl 3 1 8
1.249 Å, I = 10.9, hkl 6 0 0

Cell and atoms:
Lattice parameters (Å, degrees): 8.6521 8.6521 20.7918 90.00 90.00 120.00
Space group R3 (No. 146, hexagonal axes)
Unique sites:
Mg 0.0000 0.0000 0.0000 (multiplicity 3)
Cr 0.0000 0.0000 0.1353 (multiplicity 3)
Cr 0.0000 0.0000 0.6262 (multiplicity 3)
Fe 0.0000 0.0000 0.2806 (multiplicity 3)
Fe 0.0000 0.0000 0.4806 (multiplicity 3)
Fe 0.0000 0.0000 0.8789 (multiplicity 3)
Ni 0.0000 0.0000 0.7597 (multiplicity 3)
P 0.9999 0.2972 0.3810 (multiplicity 9)
P 0.9999 0.6952 0.8803 (multiplicity 9)
O 0.0001 0.8008 0.8208 (multiplicity 9)
O 0.0023 0.8049 0.9391 (multiplicity 9)
O 0.0042 0.8334 0.5556 (multiplicity 9)
O 0.0125 0.1824 0.0657 (multiplicity 9)
O 0.0375 0.2147 0.4394 (multiplicity 9)
O 0.1530 0.4528 0.9884 (multiplicity 9)
O 0.1616 0.4863 0.3626 (multiplicity 9)
O 0.1648 0.6674 0.8721 (multiplicity 9)

---

Diffraction record for MgCr2Fe3NiP6O24. The XRD peak list is theoretical, not measured: it uses a DFT-relaxed cell (PBE+U, the Materials Project) and Cu Kα.

Largest 12 diffraction maxima, sorted by position, 2θ = 15–90°:
4.359 Å, I = 89.1, hkl 1 0 1
4.335 Å, I = 100.0, hkl 0 1 -2
3.767 Å, I = 37.3, hkl 0 1 1
3.734 Å, I = 33.6, hkl 1 0 -2
3.666 Å, I = 34.4, hkl 2 0 -1
3.614 Å, I = 64.0, hkl 1 -2 2
2.755 Å, I = 45.5, hkl -2 1 2
2.719 Å, I = 36.9, hkl 1 -3 1
2.656 Å, I = 46.8, hkl 2 -3 2
2.516 Å, I = 33.5, hkl 2 1 0
2.508 Å, I = 33.3, hkl 1 -1 3
2.499 Å, I = 35.1, hkl 1 2 -3

Cell and atoms:
Lattice parameters (Å, degrees): 8.444 8.484 8.663 118.60 91.57 118.26
Space group P1 (No. 1)
Unique sites:
Mg 0.000 0.000 0.000 (multiplicity 1)
Cr 0.117 0.877 0.611 (multiplicity 1)
Cr 0.617 0.885 0.130 (multiplicity 1)
Fe 0.270 0.602 0.484 (multiplicity 1)
Fe 0.752 0.559 0.958 (multiplicity 1)
Fe 0.982 0.182 0.772 (multiplicity 1)
Ni 0.487 0.180 0.279 (multiplicity 1)
P 0.082 0.110 0.387 (multiplicity 1)
P 0.166 0.690 0.878 (multiplicity 1)
P 0.388 0.404 0.097 (multiplicity 1)
P 0.573 0.078 0.572 (multiplicity 1)
P 0.670 0.679 0.670 (multiplicity 1)
P 0.872 0.352 0.159 (multiplicity 1)
O 0.017 0.743 0.947 (multiplicity 1)
O 0.024 0.540 0.351 (multiplicity 1)
O 0.055 0.051 0.534 (multiplicity 1)
O 0.091 0.460 0.819 (multiplicity 1)
O 0.127 0.336 0.472 (multiplicity 1)
O 0.184 0.726 0.718 (multiplicity 1)
O 0.215 0.219 0.909 (multiplicity 1)
O 0.225 0.076 0.301 (multiplicity 1)
O 0.324 0.520 0.251 (multiplicity 1)
O 0.363 0.842 0.032 (multiplicity 1)
O 0.372 0.911 0.555 (multiplicity 1)
O 0.465 0.294 0.133 (multiplicity 1)
O 0.516 0.715 0.638 (multiplicity 1)
O 0.542 0.582 0.068 (multiplicity 1)
O 0.568 0.037 0.375 (multiplicity 1)
O 0.613 0.302 0.716 (multiplicity 1)
O 0.640 0.470 0.524 (multiplicity 1)
O 0.695 0.732 0.880 (multiplicity 1)
O 0.708 0.179 0.178 (multiplicity 1)
O 0.729 0.057 0.633 (multiplicity 1)
O 0.812 0.451 0.080 (multiplicity 1)
O 0.882 0.866 0.711 (multiplicity 1)
O 0.887 0.953 0.215 (multiplicity 1)
O 0.942 0.221 0.019 (multiplicity 1)

---

Diffraction record for MgCr2Fe3NiP6O24. The XRD peak list is theoretical, not measured: it uses a DFT-relaxed cell (PBE+U, the Materials Project) and Cu Kα.

Largest 12 diffraction maxima, sorted by position, 2θ = 15–90°:
4.351 Å, I = 55.4, hkl 1 0 1
4.328 Å, I = 100.0, hkl 1 1 -1
3.746 Å, I = 31.5, hkl 0 1 1
3.723 Å, I = 27.6, hkl 1 0 -2
3.700 Å, I = 27.3, hkl 0 2 -1
3.685 Å, I = 32.3, hkl 2 0 -1
3.663 Å, I = 57.2, hkl 1 -2 2
2.713 Å, I = 15.6, hkl 3 -2 1
2.508 Å, I = 45.1, hkl 2 1 0
2.495 Å, I = 21.8, hkl 1 2 -3
1.917 Å, I = 19.3, hkl 4 -3 2
1.643 Å, I = 13.4, hkl 3 1 1

Cell and atoms:
Lattice parameters (Å, degrees): 8.606 8.622 8.657 118.98 90.69 119.66
Space group P1 (No. 1)
Unique sites:
Mg 0.000 0.000 0.000 (multiplicity 1)
Cr 0.379 0.247 0.625 (multiplicity 1)
Cr 0.872 0.265 0.136 (multiplicity 1)
Fe 0.237 0.520 0.758 (multiplicity 1)
Fe 0.521 0.952 0.476 (multiplicity 1)
Fe 0.730 0.552 0.277 (multiplicity 1)
Ni 0.122 0.772 0.892 (multiplicity 1)
P 0.125 0.768 0.588 (multiplicity 1)
P 0.334 0.463 0.083 (multiplicity 1)
P 0.423 0.060 0.184 (multiplicity 1)
P 0.620 0.741 0.663 (multiplicity 1)
P 0.822 0.456 0.879 (multiplicity 1)
P 0.917 0.049 0.380 (multiplicity 1)
O 0.066 0.878 0.753 (multiplicity 1)
O 0.122 0.209 0.537 (multiplicity 1)
O 0.131 0.305 0.068 (multiplicity 1)
O 0.186 0.649 0.636 (multiplicity 1)
O 0.257 0.068 0.130 (multiplicity 1)
O 0.293 0.953 0.580 (multiplicity 1)
O 0.328 0.417 0.879 (multiplicity 1)
O 0.371 0.834 0.018 (multiplicity 1)
O 0.393 0.694 0.224 (multiplicity 1)
O 0.429 0.086 0.377 (multiplicity 1)
O 0.459 0.543 0.669 (multiplicity 1)
O 0.479 0.426 0.129 (multiplicity 1)
O 0.527 0.824 0.602 (multiplicity 1)
O 0.620 0.234 0.205 (multiplicity 1)
O 0.628 0.285 0.716 (multiplicity 1)
O 0.700 0.643 0.519 (multiplicity 1)
O 0.761 0.922 0.860 (multiplicity 1)
O 0.776 0.082 0.471 (multiplicity 1)
O 0.806 0.416 0.035 (multiplicity 1)
O 0.869 0.823 0.296 (multiplicity 1)
O 0.876 0.681 0.940 (multiplicity 1)
O 0.931 0.109 0.236 (multiplicity 1)
O 0.972 0.601 0.395 (multiplicity 1)
O 0.988 0.445 0.816 (multiplicity 1)

---

Please write out number 5 again, unchanged.
Diffraction record for MgCr2Fe3NiP6O24. The XRD peak list is theoretical, not measured: it uses a DFT-relaxed cell (PBE+U, the Materials Project) and Cu Kα.

Largest 12 diffraction maxima, sorted by position, 2θ = 15–90°:
4.359 Å, I = 89.1, hkl 1 0 1
4.335 Å, I = 100.0, hkl 0 1 -2
3.767 Å, I = 37.3, hkl 0 1 1
3.734 Å, I = 33.6, hkl 1 0 -2
3.666 Å, I = 34.4, hkl 2 0 -1
3.614 Å, I = 64.0, hkl 1 -2 2
2.755 Å, I = 45.5, hkl -2 1 2
2.719 Å, I = 36.9, hkl 1 -3 1
2.656 Å, I = 46.8, hkl 2 -3 2
2.516 Å, I = 33.5, hkl 2 1 0
2.508 Å, I = 33.3, hkl 1 -1 3
2.499 Å, I = 35.1, hkl 1 2 -3

Cell and atoms:
Lattice parameters (Å, degrees): 8.444 8.484 8.663 118.60 91.57 118.26
Space group P1 (No. 1)
Unique sites:
Mg 0.000 0.000 0.000 (multiplicity 1)
Cr 0.117 0.877 0.611 (multiplicity 1)
Cr 0.617 0.885 0.130 (multiplicity 1)
Fe 0.270 0.602 0.484 (multiplicity 1)
Fe 0.752 0.559 0.958 (multiplicity 1)
Fe 0.982 0.182 0.772 (multiplicity 1)
Ni 0.487 0.180 0.279 (multiplicity 1)
P 0.082 0.110 0.387 (multiplicity 1)
P 0.166 0.690 0.878 (multiplicity 1)
P 0.388 0.404 0.097 (multiplicity 1)
P 0.573 0.078 0.572 (multiplicity 1)
P 0.670 0.679 0.670 (multiplicity 1)
P 0.872 0.352 0.159 (multiplicity 1)
O 0.017 0.743 0.947 (multiplicity 1)
O 0.024 0.540 0.351 (multiplicity 1)
O 0.055 0.051 0.534 (multiplicity 1)
O 0.091 0.460 0.819 (multiplicity 1)
O 0.127 0.336 0.472 (multiplicity 1)
O 0.184 0.726 0.718 (multiplicity 1)
O 0.215 0.219 0.909 (multiplicity 1)
O 0.225 0.076 0.301 (multiplicity 1)
O 0.324 0.520 0.251 (multiplicity 1)
O 0.363 0.842 0.032 (multiplicity 1)
O 0.372 0.911 0.555 (multiplicity 1)
O 0.465 0.294 0.133 (multiplicity 1)
O 0.516 0.715 0.638 (multiplicity 1)
O 0.542 0.582 0.068 (multiplicity 1)
O 0.568 0.037 0.375 (multiplicity 1)
O 0.613 0.302 0.716 (multiplicity 1)
O 0.640 0.470 0.524 (multiplicity 1)
O 0.695 0.732 0.880 (multiplicity 1)
O 0.708 0.179 0.178 (multiplicity 1)
O 0.729 0.057 0.633 (multiplicity 1)
O 0.812 0.451 0.080 (multiplicity 1)
O 0.882 0.866 0.711 (multiplicity 1)
O 0.887 0.953 0.215 (multiplicity 1)
O 0.942 0.221 0.019 (multiplicity 1)